Record 1
The following is a simulated powder diffractogram of BaSn2Se6. It was derived from a cell relaxed with PBE, using Cu Kα, 1.54184 Å.

Cell and atoms:
```
data_BaSn2Se6
_chemical_formula_sum 'Ba2 Sn4 Se12'
_cell_length_a 9.412
_cell_length_b 9.412
_cell_length_c 9.412
_cell_angle_alpha 60.00
_cell_angle_beta 60.00
_cell_angle_gamma 60.00
_symmetry_space_group_name_H-M 'P 1'
_symmetry_Int_Tables_number 1
_symmetry_space_group_name_Hall 'P 1'
loop_
_atom_site_label
_atom_site_type_symbol
_atom_site_fract_x
_atom_site_fract_y
_atom_site_fract_z
Ba1 Ba 0.125 0.125 0.125
Ba2 Ba 0.875 0.875 0.875
Sn1 Sn 0.000 0.500 0.500
Sn2 Sn 0.500 0.000 0.500
Sn3 Sn 0.500 0.500 0.000
Sn4 Sn 0.500 0.500 0.500
Se1 Se 0.150 0.150 0.600
Se2 Se 0.150 0.600 0.150
Se3 Se 0.150 0.600 0.600
Se4 Se 0.400 0.400 0.850
Se5 Se 0.400 0.850 0.400
Se6 Se 0.400 0.850 0.850
Se7 Se 0.600 0.150 0.150
Se8 Se 0.600 0.150 0.600
Se9 Se 0.600 0.600 0.150
Se10 Se 0.850 0.400 0.400
Se11 Se 0.850 0.400 0.850
Se12 Se 0.850 0.850 0.400
```

Principal peaks in the range 5° ≤ 2θ ≤ 70°, low angle first:
2θ 22.15, I = 69
2θ 23.15, I = 23
2θ 26.79, I = 24
2θ 38.25, I = 100
2θ 52.83, I = 32
2θ 69.15, I = 26

Record 2
The following is a simulated powder diffractogram of NaAcBe2O4. It was derived from a cell relaxed with PBE, using Cu Kα, 1.54184 Å.

Cell and atoms:
```
data_NaAcBe2O4
_chemical_formula_sum 'Na1 Ac1 Be2 O4'
_cell_length_a 5.175
_cell_length_b 5.175
_cell_length_c 5.175
_cell_angle_alpha 113.64
_cell_angle_beta 112.02
_cell_angle_gamma 102.95
_symmetry_space_group_name_H-M 'P 1'
_symmetry_Int_Tables_number 1
_symmetry_space_group_name_Hall 'P 1'
loop_
_atom_site_label
_atom_site_type_symbol
_atom_site_fract_x
_atom_site_fract_y
_atom_site_fract_z
Na1 Na 0.000 0.000 0.000
Ac1 Ac 0.500 0.500 0.000
Be1 Be 0.240 0.740 0.500
Be2 Be 0.760 0.260 0.500
O1 O 0.067 0.925 0.514
O2 O 0.411 0.552 0.486
O3 O 0.589 0.075 0.142
O4 O 0.933 0.448 0.858
```

Principal peaks in the range 5° ≤ 2θ ≤ 70°, low angle first:
2θ 20.63, I = 90
2θ 20.88, I = 94
2θ 21.96, I = 100
2θ 35.61, I = 92
2θ 37.60, I = 45
2θ 38.03, I = 43

Record 3
The following is a simulated powder diffractogram of Li2MnAgCl6. It was derived from a cell relaxed with PBE, using Cu Kα, 1.54184 Å.

Cell and atoms:
```
data_Li2MnAgCl6
_chemical_formula_sum 'Li2 Mn1 Ag1 Cl6'
_cell_length_a 6.315
_cell_length_b 6.450
_cell_length_c 6.819
_cell_angle_alpha 66.08
_cell_angle_beta 64.77
_cell_angle_gamma 62.55
_symmetry_space_group_name_H-M 'P 1'
_symmetry_Int_Tables_number 1
_symmetry_space_group_name_Hall 'P 1'
loop_
_atom_site_label
_atom_site_type_symbol
_atom_site_fract_x
_atom_site_fract_y
_atom_site_fract_z
Li1 Li 0.000 0.000 0.000
Li2 Li 0.477 0.449 0.538
Mn1 Mn 0.673 0.666 0.965
Ag1 Ag 0.195 0.174 0.424
Cl1 Cl 0.036 0.746 0.746
Cl2 Cl 0.296 0.607 0.198
Cl3 Cl 0.391 0.072 0.730
Cl4 Cl 0.619 0.874 0.199
Cl5 Cl 0.739 0.432 0.747
Cl6 Cl 0.877 0.266 0.240
```

Principal peaks in the range 5° ≤ 2θ ≤ 70°, low angle first:
2θ 18.63, I = 96
2θ 18.73, I = 97
2θ 18.85, I = 100
2θ 24.67, I = 55
2θ 30.81, I = 57
2θ 31.25, I = 55

Record 4
The following is a simulated powder diffractogram of NdY5Er12. It was derived from a cell relaxed with PBE, using Cu Kα, 1.54184 Å.

Cell and atoms:
```
data_NdY5Er12
_chemical_formula_sum 'Nd1 Y5 Er12'
_cell_length_a 10.601
_cell_length_b 4.996
_cell_length_c 10.611
_cell_angle_alpha 90.00
_cell_angle_beta 90.15
_cell_angle_gamma 90.00
_symmetry_space_group_name_H-M 'P 1'
_symmetry_Int_Tables_number 1
_symmetry_space_group_name_Hall 'P 1'
loop_
_atom_site_label
_atom_site_type_symbol
_atom_site_fract_x
_atom_site_fract_y
_atom_site_fract_z
Nd1 Nd 0.000 0.000 0.000
Y1 Y 0.167 0.500 0.833
Y2 Y 0.334 0.000 0.666
Y3 Y 0.500 0.500 0.500
Y4 Y 0.666 0.000 0.334
Y5 Y 0.833 0.500 0.167
Er1 Er 0.001 0.000 0.336
Er2 Er 0.166 0.500 0.499
Er3 Er 0.169 0.500 0.169
Er4 Er 0.332 0.000 0.332
Er5 Er 0.336 0.000 0.001
Er6 Er 0.499 0.500 0.166
Er7 Er 0.501 0.500 0.834
Er8 Er 0.664 0.000 0.999
Er9 Er 0.668 0.000 0.668
Er10 Er 0.831 0.500 0.831
Er11 Er 0.834 0.500 0.501
Er12 Er 0.999 0.000 0.664
```

Principal peaks in the range 5° ≤ 2θ ≤ 70°, low angle first:
2θ 30.99, I = 100
2θ 35.93, I = 50
2θ 51.73, I = 36
2θ 61.46, I = 14
2θ 61.57, I = 28
2θ 64.59, I = 12

Record 5
The following is a simulated powder diffractogram of PmPrCo. It was derived from a cell relaxed with PBE, using Cu Kα, 1.54184 Å.

Cell and atoms:
```
data_PmPrCo
_chemical_formula_sum 'Pm4 Pr4 Co4'
_cell_length_a 6.227
_cell_length_b 3.806
_cell_length_c 13.788
_cell_angle_alpha 90.00
_cell_angle_beta 90.00
_cell_angle_gamma 90.00
_symmetry_space_group_name_H-M 'P 1'
_symmetry_Int_Tables_number 1
_symmetry_space_group_name_Hall 'P 1'
loop_
_atom_site_label
_atom_site_type_symbol
_atom_site_fract_x
_atom_site_fract_y
_atom_site_fract_z
Pm1 Pm 0.160 0.250 0.164
Pm2 Pm 0.340 0.750 0.664
Pm3 Pm 0.660 0.250 0.336
Pm4 Pm 0.840 0.750 0.836
Pr1 Pr 0.153 0.750 0.407
Pr2 Pr 0.347 0.250 0.907
Pr3 Pr 0.653 0.750 0.093
Pr4 Pr 0.847 0.250 0.593
Co1 Co 0.112 0.750 0.014
Co2 Co 0.388 0.250 0.514
Co3 Co 0.612 0.750 0.486
Co4 Co 0.888 0.250 0.986
```

Principal peaks in the range 5° ≤ 2θ ≤ 70°, low angle first:
2θ 28.23, I = 60
2θ 29.41, I = 69
2θ 29.62, I = 54
2θ 30.45, I = 100
2θ 33.80, I = 88
2θ 39.62, I = 51

Record 6
The following is a simulated powder diffractogram of Cd3In4Ga2. It was derived from a cell relaxed with PBE, using Cu Kα, 1.54184 Å.

Cell and atoms:
```
data_Cd3In4Ga2
_chemical_formula_sum 'Cd6 In8 Ga4'
_cell_length_a 9.411
_cell_length_b 9.411
_cell_length_c 6.212
_cell_angle_alpha 91.37
_cell_angle_beta 91.37
_cell_angle_gamma 53.02
_symmetry_space_group_name_H-M 'P 1'
_symmetry_Int_Tables_number 1
_symmetry_space_group_name_Hall 'P 1'
loop_
_atom_site_label
_atom_site_type_symbol
_atom_site_fract_x
_atom_site_fract_y
_atom_site_fract_z
Cd1 Cd 0.000 0.000 0.250
Cd2 Cd 0.000 0.000 0.750
Cd3 Cd 0.237 0.469 0.878
Cd4 Cd 0.469 0.237 0.378
Cd5 Cd 0.531 0.763 0.622
Cd6 Cd 0.763 0.531 0.122
In1 In 0.135 0.197 0.000
In2 In 0.197 0.135 0.500
In3 In 0.287 0.643 0.491
In4 In 0.357 0.713 0.009
In5 In 0.643 0.287 0.991
In6 In 0.713 0.357 0.509
In7 In 0.803 0.865 0.500
In8 In 0.865 0.803 0.000
Ga1 Ga 0.090 0.493 0.324
Ga2 Ga 0.493 0.090 0.824
Ga3 Ga 0.507 0.910 0.176
Ga4 Ga 0.910 0.507 0.676
```

Principal peaks in the range 5° ≤ 2θ ≤ 70°, low angle first:
2θ 31.01, I = 21
2θ 31.89, I = 32
2θ 32.40, I = 100
2θ 34.33, I = 37
2θ 35.07, I = 23
2θ 37.34, I = 25

Record 7
The following is a simulated powder diffractogram of PrMo6. It was derived from a cell relaxed with PBE, using Cu Kα, 1.54184 Å.

Cell and atoms:
```
data_PrMo6
_chemical_formula_sum 'Pr1 Mo6'
_cell_length_a 6.014
_cell_length_b 6.014
_cell_length_c 6.014
_cell_angle_alpha 109.47
_cell_angle_beta 109.47
_cell_angle_gamma 109.47
_symmetry_space_group_name_H-M 'P 1'
_symmetry_Int_Tables_number 1
_symmetry_space_group_name_Hall 'P 1'
loop_
_atom_site_label
_atom_site_type_symbol
_atom_site_fract_x
_atom_site_fract_y
_atom_site_fract_z
Pr1 Pr 0.000 0.000 0.000
Mo1 Mo 0.250 0.500 0.750
Mo2 Mo 0.250 0.750 0.500
Mo3 Mo 0.500 0.250 0.750
Mo4 Mo 0.500 0.750 0.250
Mo5 Mo 0.750 0.250 0.500
Mo6 Mo 0.750 0.500 0.250
```

Principal peaks in the range 5° ≤ 2θ ≤ 70°, low angle first:
2θ 25.66, I = 43
2θ 31.56, I = 100
2θ 45.23, I = 21
2θ 49.09, I = 57
2θ 52.73, I = 26
2θ 59.53, I = 16

Record 8
The following is a simulated powder diffractogram of Nd6DyIn. It was derived from a cell relaxed with PBE, using Cu Kα, 1.54184 Å.

Cell and atoms:
```
data_Nd6DyIn
_chemical_formula_sum 'Nd6 Dy1 In1'
_cell_length_a 5.033
_cell_length_b 5.033
_cell_length_c 10.334
_cell_angle_alpha 90.00
_cell_angle_beta 90.00
_cell_angle_gamma 90.00
_symmetry_space_group_name_H-M 'P 1'
_symmetry_Int_Tables_number 1
_symmetry_space_group_name_Hall 'P 1'
loop_
_atom_site_label
_atom_site_type_symbol
_atom_site_fract_x
_atom_site_fract_y
_atom_site_fract_z
Nd1 Nd 0.000 0.000 0.000
Nd2 Nd 0.000 0.000 0.500
Nd3 Nd 0.000 0.500 0.243
Nd4 Nd 0.000 0.500 0.757
Nd5 Nd 0.500 0.000 0.243
Nd6 Nd 0.500 0.000 0.757
Dy1 Dy 0.500 0.500 0.500
In1 In 0.500 0.500 0.000
```

Principal peaks in the range 5° ≤ 2θ ≤ 70°, low angle first:
2θ 30.50, I = 100
2θ 34.72, I = 18
2θ 35.68, I = 33
2θ 50.64, I = 24
2θ 59.64, I = 14
2θ 60.91, I = 28